# 1
Computed powder diffractogram of Cd3AsI3 for copper Kα, from a cell relaxed with GGA-PBE.
Peak positions follow from Bragg's law for the DFT cell and can differ from measured ones.

Top 10 peaks for 2θ from 15° to 90°, in order of rising 2θ:
| d/Å | 2θ (°) | Rel. int. | hkl |
| --- | --- | --- | --- |
| 4.002 | 22.21 | 35 | 0 0 2 |
| 3.963 | 22.43 | 100 | 0 1 1 |
| 3.780 | 23.53 | 72 | 2 0 0 |
| 3.519 | 25.31 | 37 | 1 1 -1 |
| 3.499 | 25.46 | 33 | 1 1 1 |
| 2.726 | 32.86 | 32 | 2 1 1 |
| 2.303 | 39.11 | 63 | 0 1 3 |
| 2.281 | 39.51 | 38 | 0 2 0 |
| 2.119 | 42.67 | 57 | 3 1 1 |
| 1.954 | 46.47 | 44 | 2 2 0 |

Structure:
Cell lengths 7.5614, 4.5613, 8.0049 Å; angles 90.00, 90.88, 90.00 degrees
Space group Pm (No. 6)
Symmetry-distinct sites (fractional):
Cd: 0.0000 0.0000 0.0000
Cd: 0.0046 0.5000 0.5803
Cd: 0.4585 0.0000 0.7024
As: 0.1158 0.0000 0.6966
I: 0.1140 0.5000 0.2105
I: 0.6115 0.5000 0.5110
I: 0.6229 0.0000 0.0243

---

# 2
Computed powder diffractogram of CdIn3Te4As for copper Kα, from a cell relaxed with GGA-PBE.
Peak positions follow from Bragg's law for the DFT cell and can differ from measured ones.

Top 10 peaks for 2θ from 15° to 90°, in order of rising 2θ:
| d/Å | 2θ (°) | Rel. int. | hkl |
| --- | --- | --- | --- |
| 3.699 | 24.06 | 36 | 1 0 -1 |
| 3.676 | 24.21 | 100 | 1 -1 1 |
| 2.268 | 39.73 | 19 | 2 2 -1 |
| 2.259 | 39.91 | 33 | 2 0 3 |
| 2.254 | 40.00 | 17 | 2 -1 0 |
| 2.244 | 40.19 | 32 | 2 3 2 |
| 1.934 | 46.97 | 11 | 3 1 0 |
| 1.928 | 47.13 | 20 | 1 0 4 |
| 1.925 | 47.23 | 10 | 3 2 3 |
| 1.910 | 47.61 | 10 | 1 3 3 |

Structure:
Cell lengths 6.3979, 7.7547, 7.8303 Å; angles 80.89, 66.20, 65.81 degrees
Space group P1 (No. 1)
Symmetry-distinct sites (fractional):
Cd: 0.0000 0.0000 0.0000
In: 0.2222 0.3827 0.1979
In: 0.4050 0.8111 0.3871
In: 0.6088 0.1891 0.5814
Te: 0.1422 0.3192 0.8856
Te: 0.3913 0.6854 0.0724
Te: 0.7594 0.5036 0.5115
Te: 0.9510 0.8738 0.6950
As: 0.5642 0.0934 0.2893

---

# 3
Computed powder diffractogram of CdIn4TeAs4 for copper Kα, from a cell relaxed with GGA-PBE.
Peak positions follow from Bragg's law for the DFT cell and can differ from measured ones.

Top 10 peaks for 2θ from 15° to 90°, in order of rising 2θ:
| d/Å | 2θ (°) | Rel. int. | hkl |
| --- | --- | --- | --- |
| 2.931 | 30.49 | 100 | 1 1 0 |
| 2.892 | 30.92 | 45 | 0 0 10 |
| 2.073 | 43.67 | 36 | 2 0 0 |
| 2.059 | 43.98 | 68 | 1 1 10 |
| 1.685 | 54.46 | 36 | 2 0 10 |
| 1.466 | 63.47 | 12 | 2 2 0 |
| 1.311 | 72.04 | 16 | 3 1 0 |
| 1.307 | 72.27 | 15 | 2 2 10 |
| 1.297 | 72.96 | 13 | 1 1 20 |
| 1.194 | 80.43 | 22 | 3 1 10 |

Structure:
Cell lengths 4.1457, 4.1457, 28.9160 Å; angles 90.00, 90.00, 90.00 degrees
Space group I4/mmm (No. 139)
Symmetry-distinct sites (fractional):
Cd: 0.0000 0.0000 0.0000
In: 0.0000 0.0000 0.1990
In: 0.0000 0.0000 0.3937
Te: 0.0000 0.0000 0.5000
As: 0.0000 0.0000 0.1019
As: 0.0000 0.0000 0.2967

---

# 4
Computed powder diffractogram of K2CdAs2 for copper Kα, from a cell relaxed with GGA-PBE.
Peak positions follow from Bragg's law for the DFT cell and can differ from measured ones.

Top 10 peaks for 2θ from 15° to 90°, in order of rising 2θ:
| d/Å | 2θ (°) | Rel. int. | hkl |
| --- | --- | --- | --- |
| 3.553 | 25.07 | 100 | 1 0 0 |
| 3.460 | 25.75 | 29 | 1 0 1 |
| 2.539 | 35.35 | 15 | 0 0 6 |
| 2.512 | 35.74 | 39 | 1 1 0 |
| 2.313 | 38.94 | 24 | 1 0 5 |
| 2.066 | 43.83 | 31 | 1 0 6 |
| 1.938 | 46.87 | 14 | 1 1 5 |
| 1.786 | 51.15 | 20 | 1 1 6 |
| 1.589 | 58.06 | 18 | 2 1 0 |
| 1.347 | 69.84 | 15 | 2 1 6 |

Structure:
Cell lengths 3.5526, 3.5526, 15.2342 Å; angles 90.00, 90.00, 90.00 degrees
Space group P4/mmm (No. 123)
Symmetry-distinct sites (fractional):
K: 0.0000 0.0000 0.1354
Cd: 0.0000 0.0000 0.5000
As: 0.0000 0.0000 0.3353

---

# 5
Computed powder diffractogram of K2Cd3SnAs4 for copper Kα, from a cell relaxed with GGA-PBE.
Peak positions follow from Bragg's law for the DFT cell and can differ from measured ones.

Top 10 peaks for 2θ from 15° to 90°, in order of rising 2θ:
| d/Å | 2θ (°) | Rel. int. | hkl |
| --- | --- | --- | --- |
| 3.900 | 22.80 | 85 | 1 1 -1 |
| 3.537 | 25.18 | 65 | 0 0 2 |
| 3.526 | 25.26 | 42 | 3 1 -1 |
| 2.850 | 31.38 | 85 | 3 1 1 |
| 2.844 | 31.45 | 44 | 6 0 -2 |
| 2.780 | 32.20 | 41 | 6 0 0 |
| 2.264 | 39.81 | 76 | 5 1 1 |
| 2.254 | 40.00 | 100 | 3 1 -3 |
| 2.247 | 40.13 | 51 | 0 2 0 |
| 1.747 | 52.36 | 38 | 6 2 0 |

Structure:
Cell lengths 18.3835, 4.4936, 7.8169 Å; angles 90.00, 114.87, 90.00 degrees
Space group Cm (No. 8)
Symmetry-distinct sites (fractional):
K: 0.0000 0.0000 0.0000
K: 0.0024 0.5000 0.5048
Cd: 0.2021 0.5000 0.0250
Cd: 0.3239 0.0000 0.0063
Cd: 0.3295 0.5000 0.4822
Sn: 0.1942 0.0000 0.5396
As: 0.1391 0.0000 0.8082
As: 0.1438 0.5000 0.3118
As: 0.3555 0.0000 0.6946
As: 0.3748 0.5000 0.2051

---

# 6
Computed powder diffractogram of LaCd3As3 for copper Kα, from a cell relaxed with GGA-PBE.
Peak positions follow from Bragg's law for the DFT cell and can differ from measured ones.

Top 10 peaks for 2θ from 15° to 90°, in order of rising 2θ:
| d/Å | 2θ (°) | Rel. int. | hkl |
| --- | --- | --- | --- |
| 3.889 | 22.87 | 21 | 1 0 0 |
| 3.661 | 24.31 | 55 | 1 2 0 |
| 3.162 | 28.23 | 38 | 0 4 1 |
| 2.897 | 30.86 | 58 | 0 5 1 |
| 2.715 | 33.00 | 23 | 0 8 0 |
| 2.650 | 33.83 | 61 | 1 6 0 |
| 2.245 | 40.16 | 100 | 1 0 1 |
| 2.050 | 44.17 | 18 | 1 9 0 |
| 1.730 | 52.92 | 33 | 1 8 1 |
| 1.162 | 83.17 | 16 | 1 16 1 |

Structure:
Cell lengths 4.4875, 21.7164, 4.4878 Å; angles 90.00, 119.87, 90.00 degrees
Space group Pm (No. 6)
Symmetry-distinct sites (fractional):
La: 0.0000 0.2501 0.0000
Cd: 0.3329 0.1248 0.6660
Cd: 0.3659 0.5000 0.6403
Cd: 0.6401 0.0000 0.2749
Cd: 0.6685 0.3754 0.3348
As: 0.3041 0.0000 0.6058
As: 0.3346 0.3275 0.6675
As: 0.6663 0.1728 0.3327
As: 0.7015 0.5000 0.3041